[1]
Starting from a structure optimized by DFT (GGA-PBE), the powder X-ray diffraction pattern of EuHo2Se4 was simulated for Cu Kα.

Principal peaks in the range 15 to 90 degrees two-theta, in order of rising 2θ:
| two_theta | intensity | (hkl) |
| --- | --- | --- |
| 23.93 | 45 | 0 0 4 |
| 24.47 | 94 | 3 0 2 |
| 25.74 | 56 | 1 1 2 |
| 29.10 | 95 | 1 1 3 |
| 31.12 | 43 | 3 1 1 |
| 35.57 | 100 | 2 1 4 |
| 36.06 | 44 | 4 1 0 |
| 39.08 | 43 | 2 0 6 |
| 43.75 | 40 | 4 1 4 |
| 44.02 | 89 | 0 2 0 |

Structural model:
```
data_EuHo2Se4
_chemical_formula_sum 'Eu4 Ho8 Se16'
_cell_length_a 12.5129
_cell_length_b 4.1155
_cell_length_c 14.8770
_cell_angle_alpha 90.00
_cell_angle_beta 90.00
_cell_angle_gamma 90.00
_space_group_name_H-M_alt 'P n m a'
_space_group_IT_number 62
loop_
_space_group_symop_operation_xyz
'x,y,z'
'-x,-y,-z'
'-x+1/2,-y,z+1/2'
'x+1/2,y,-z+1/2'
'x+1/2,-y+1/2,-z+1/2'
'-x+1/2,y+1/2,z+1/2'
'-x,y+1/2,-z'
'x,-y+1/2,z'
loop_
_atom_site_label
_atom_site_type_symbol
_atom_site_fract_x
_atom_site_fract_y
_atom_site_fract_z
Eu1 Eu 0.2412 0.2500 0.1655
Ho1 Ho 0.0629 0.2500 0.3888
Ho2 Ho 0.0840 0.2500 0.9027
Se1 Se 0.0280 0.7500 0.7846
Se2 Se 0.0916 0.2500 0.5781
Se3 Se 0.1315 0.7500 0.0322
Se4 Se 0.2053 0.7500 0.3243
```

=====

[2]
Starting from a structure optimized by DFT (GGA-PBE), the powder X-ray diffraction pattern of Tl17Cd11Ag was simulated for Cu Kα.

Principal peaks in the range 15 to 90 degrees two-theta, in order of rising 2θ:
| two_theta | intensity | (hkl) |
| --- | --- | --- |
| 30.55 | 5 | 0 4 2 |
| 32.45 | 100 | 3 3 0 |
| 35.99 | 15 | 3 5 -1 |
| 37.65 | 10 | 4 0 0 |
| 39.24 | 8 | 4 4 -1 |
| 46.55 | 5 | 2 8 -1 |
| 54.30 | 5 | 4 0 2 |
| 57.89 | 30 | 7 3 -3 |
| 67.95 | 7 | 6 6 0 |
| 77.33 | 5 | 7 1 1 |

Structural model:
```
data_Tl17Cd11Ag
_chemical_formula_sum 'Tl34 Cd22 Ag2'
_cell_length_a 11.7102
_cell_length_b 16.5610
_cell_length_c 10.1315
_cell_angle_alpha 90.00
_cell_angle_beta 125.29
_cell_angle_gamma 90.00
_space_group_name_H-M_alt 'C 1 m 1'
_space_group_IT_number 8
loop_
_space_group_symop_operation_xyz
'x,y,z'
'x,-y,z'
'x+1/2,y+1/2,z'
'x+1/2,-y+1/2,z'
loop_
_atom_site_label
_atom_site_type_symbol
_atom_site_fract_x
_atom_site_fract_y
_atom_site_fract_z
Tl1 Tl 0.0000 0.0000 0.0000
Tl2 Tl 0.0072 0.3246 0.7180
Tl3 Tl 0.1256 0.1983 0.0331
Tl4 Tl 0.2209 0.5000 0.4241
Tl5 Tl 0.2853 0.3609 0.7142
Tl6 Tl 0.3128 0.3011 0.3991
Tl7 Tl 0.3228 0.0000 0.0707
Tl8 Tl 0.3336 0.0000 0.7206
Tl9 Tl 0.3771 0.3438 0.1076
Tl10 Tl 0.4767 0.5000 0.3639
Tl11 Tl 0.4870 0.1600 0.3141
Cd1 Cd 0.0195 0.5000 0.5468
Cd2 Cd 0.0523 0.0896 0.7164
Cd3 Cd 0.1002 0.4083 0.0757
Cd4 Cd 0.1464 0.1824 0.5297
Cd5 Cd 0.2379 0.0922 0.3507
Cd6 Cd 0.3303 0.1834 0.9016
Ag1 Ag 0.1916 0.5000 0.8985
```

=====

[3]
Starting from a structure optimized by DFT (GGA-PBE), the powder X-ray diffraction pattern of Pr3SnTeBr was simulated for Cu Kα.

Principal peaks in the range 15 to 90 degrees two-theta, in order of rising 2θ:
| two_theta | intensity | (hkl) |
| --- | --- | --- |
| 25.23 | 36 | 0 0 3 |
| 27.87 | 100 | 2 1 0 |
| 37.71 | 21 | 2 1 -3 |
| 38.18 | 27 | 2 1 3 |
| 38.65 | 19 | 4 0 0 |
| 40.97 | 18 | 0 2 0 |
| 44.12 | 12 | 2 1 -4 |
| 48.73 | 12 | 0 2 3 |
| 57.59 | 12 | 4 2 0 |
| 63.52 | 12 | 6 1 0 |

Structural model:
```
data_Pr3SnTeBr
_chemical_formula_sum 'Pr6 Sn2 Te2 Br2'
_cell_length_a 9.3194
_cell_length_b 4.4054
_cell_length_c 10.5921
_cell_angle_alpha 90.00
_cell_angle_beta 91.01
_cell_angle_gamma 90.00
_space_group_name_H-M_alt 'P 1 21/m 1'
_space_group_IT_number 11
loop_
_space_group_symop_operation_xyz
'x,y,z'
'-x,-y,-z'
'-x,y+1/2,-z'
'x,-y+1/2,z'
loop_
_atom_site_label
_atom_site_type_symbol
_atom_site_fract_x
_atom_site_fract_y
_atom_site_fract_z
Pr1 Pr 0.1205 0.2500 0.3454
Pr2 Pr 0.1525 0.2500 0.9326
Pr3 Pr 0.3721 0.7500 0.6398
Sn1 Sn 0.1257 0.2500 0.6437
Te1 Te 0.3745 0.7500 0.3332
Br1 Br 0.3678 0.7500 0.9295
```

=====

[4]
Starting from a structure optimized by DFT (GGA-PBE), the powder X-ray diffraction pattern of Pa2Si4Ni3Ir was simulated for Cu Kα.

Principal peaks in the range 15 to 90 degrees two-theta, in order of rising 2θ:
| two_theta | intensity | (hkl) |
| --- | --- | --- |
| 23.95 | 57 | 1 0 1 |
| 32.74 | 16 | 1 1 1 |
| 36.15 | 63 | 1 0 3 |
| 36.76 | 100 | 1 1 2 |
| 44.86 | 44 | 2 0 0 |
| 53.52 | 21 | 1 0 5 |
| 58.92 | 31 | 2 1 3 |
| 67.95 | 18 | 1 1 6 |
| 72.34 | 17 | 2 1 5 |
| 77.36 | 24 | 3 1 2 |

Structural model:
```
data_Pa2Si4Ni3Ir
_chemical_formula_sum 'Pa2 Si4 Ni3 Ir1'
_cell_length_a 4.0411
_cell_length_b 4.0411
_cell_length_c 9.4513
_cell_angle_alpha 90.00
_cell_angle_beta 90.00
_cell_angle_gamma 90.00
_space_group_name_H-M_alt 'P -4 m 2'
_space_group_IT_number 115
loop_
_space_group_symop_operation_xyz
'x,y,z'
'y,-x,-z'
'-x,-y,z'
'-y,x,-z'
'-x,y,z'
'-y,-x,-z'
'x,-y,z'
'y,x,-z'
loop_
_atom_site_label
_atom_site_type_symbol
_atom_site_fract_x
_atom_site_fract_y
_atom_site_fract_z
Pa1 Pa 0.0000 0.5000 0.2464
Si1 Si 0.0000 0.0000 0.0000
Si2 Si 0.0000 0.5000 0.6376
Si3 Si 0.5000 0.5000 0.0000
Ni1 Ni 0.0000 0.5000 0.8792
Ni2 Ni 0.5000 0.5000 0.5000
Ir1 Ir 0.0000 0.0000 0.5000
```

=====

[5]
Starting from a structure optimized by DFT (GGA-PBE), the powder X-ray diffraction pattern of Sm2BeZnRh2 was simulated for Cu Kα.

Principal peaks in the range 15 to 90 degrees two-theta, in order of rising 2θ:
| two_theta | intensity | (hkl) |
| --- | --- | --- |
| 25.98 | 25 | 0 4 0 |
| 30.52 | 38 | 2 0 0 |
| 31.45 | 42 | 0 0 2 |
| 34.15 | 100 | 1 4 1 |
| 40.50 | 33 | 2 4 0 |
| 41.23 | 37 | 0 4 2 |
| 44.39 | 53 | 2 0 2 |
| 56.60 | 16 | 3 4 1 |
| 57.74 | 19 | 1 4 3 |
| 58.37 | 29 | 1 8 1 |

Structural model:
```
data_Sm2BeZnRh2
_chemical_formula_sum 'Sm8 Be4 Zn4 Rh8'
_cell_length_a 5.8586
_cell_length_b 13.7172
_cell_length_c 5.6889
_cell_angle_alpha 90.00
_cell_angle_beta 90.00
_cell_angle_gamma 90.00
_space_group_name_H-M_alt 'I b a m'
_space_group_IT_number 72
_space_group_name_Hall '-I 2 2c'
loop_
_atom_site_label
_atom_site_type_symbol
_atom_site_fract_x
_atom_site_fract_y
_atom_site_fract_z
Sm1 Sm 0.2332 0.1669 0.0000
Be1 Be 0.0000 0.5000 0.2500
Zn1 Zn 0.0000 0.0000 0.2500
Rh1 Rh 0.2068 0.3933 0.0000
```

=====

[6]
Starting from a structure optimized by DFT (GGA-PBE), the powder X-ray diffraction pattern of CaPdPt was simulated for Cu Kα.

Principal peaks in the range 15 to 90 degrees two-theta, in order of rising 2θ:
| two_theta | intensity | (hkl) |
| --- | --- | --- |
| 18.90 | 78 | 1 0 1 |
| 20.76 | 32 | 1 0 4 |
| 38.66 | 100 | 1 1 9 |
| 39.15 | 37 | 0 2 4 |
| 39.75 | 58 | 2 0 5 |
| 40.37 | 35 | 0 0 18 |
| 42.25 | 37 | 2 0 8 |
| 44.46 | 29 | 0 2 10 |
| 68.79 | 35 | 2 2 0 |
| 82.90 | 27 | 2 2 18 |

Structural model:
```
data_CaPdPt
_chemical_formula_sum 'Ca18 Pd18 Pt18'
_cell_length_a 5.4582
_cell_length_b 5.4582
_cell_length_c 40.2189
_cell_angle_alpha 90.00
_cell_angle_beta 90.00
_cell_angle_gamma 120.00
_space_group_name_H-M_alt 'R -3 m'
_space_group_IT_number 166
_space_group_name_Hall '-R 3 2"'
loop_
_atom_site_label
_atom_site_type_symbol
_atom_site_fract_x
_atom_site_fract_y
_atom_site_fract_z
Ca1 Ca 0.0000 0.0000 0.0405
Ca2 Ca 0.0000 0.0000 0.1813
Ca3 Ca 0.0000 0.0000 0.2652
Pd1 Pd 0.0031 0.5015 0.7775
Pt1 Pt 0.0000 0.0000 0.3885
Pt2 Pt 0.0000 0.0000 0.5000
Pt3 Pt 0.0000 0.5000 0.0000
```

=====

[7]
Starting from a structure optimized by DFT (GGA-PBE), the powder X-ray diffraction pattern of K3Be2PtO6 was simulated for Cu Kα.

Principal peaks in the range 15 to 90 degrees two-theta, in order of rising 2θ:
| two_theta | intensity | (hkl) |
| --- | --- | --- |
| 18.71 | 100 | 1 0 0 |
| 22.91 | 74 | 0 1 1 |
| 32.54 | 95 | 1 0 2 |
| 32.71 | 55 | 1 1 0 |
| 35.38 | 22 | 1 1 1 |
| 40.32 | 25 | 2 0 1 |
| 42.50 | 18 | 1 1 2 |
| 46.81 | 45 | 2 0 2 |
| 52.85 | 18 | 1 2 1 |
| 58.28 | 33 | 2 1 2 |

Structural model:
```
data_K3Be2PtO6
_chemical_formula_sum 'K3 Be2 Pt1 O6'
_cell_length_a 5.4749
_cell_length_b 5.4749
_cell_length_c 6.7580
_cell_angle_alpha 90.00
_cell_angle_beta 90.00
_cell_angle_gamma 120.00
_space_group_name_H-M_alt 'P -3 m 1'
_space_group_IT_number 164
_space_group_name_Hall '-P 3 2"'
loop_
_atom_site_label
_atom_site_type_symbol
_atom_site_fract_x
_atom_site_fract_y
_atom_site_fract_z
K1 K 0.0000 0.0000 0.0000
K2 K 0.3333 0.6667 0.7451
Be1 Be 0.3333 0.6667 0.3362
Pt1 Pt 0.0000 0.0000 0.5000
O1 O 0.1710 0.3419 0.3205
```

=====

[8]
Starting from a structure optimized by DFT (GGA-PBE), the powder X-ray diffraction pattern of Sm3DyBi3 was simulated for Cu Kα.

Principal peaks in the range 15 to 90 degrees two-theta, in order of rising 2θ:
| two_theta | intensity | (hkl) |
| --- | --- | --- |
| 19.19 | 45 | 1 1 0 |
| 23.76 | 31 | 1 1 3 |
| 27.97 | 63 | 0 0 6 |
| 29.87 | 50 | 2 1 1 |
| 30.98 | 80 | 1 2 2 |
| 33.56 | 83 | 3 0 0 |
| 34.15 | 100 | 1 1 6 |
| 35.07 | 53 | 2 1 4 |
| 44.23 | 26 | 0 3 6 |
| 61.45 | 26 | 2 4 1 |

Structural model:
```
data_Sm3DyBi3
_chemical_formula_sum 'Sm18 Dy6 Bi18'
_cell_length_a 9.2507
_cell_length_b 9.2507
_cell_length_c 19.1381
_cell_angle_alpha 90.00
_cell_angle_beta 90.00
_cell_angle_gamma 120.00
_space_group_name_H-M_alt 'R -3'
_space_group_IT_number 148
_space_group_name_Hall '-R 3'
loop_
_atom_site_label
_atom_site_type_symbol
_atom_site_fract_x
_atom_site_fract_y
_atom_site_fract_z
Sm1 Sm 0.0027 0.2599 0.0839
Dy1 Dy 0.0000 0.0000 0.3330
Bi1 Bi 0.0028 0.3920 0.9180
```

=====

[9]
Starting from a structure optimized by DFT (GGA-PBE), the powder X-ray diffraction pattern of Ta5Mo3 was simulated for Cu Kα.

Principal peaks in the range 15 to 90 degrees two-theta, in order of rising 2θ:
| two_theta | intensity | (hkl) |
| --- | --- | --- |
| 22.62 | 2 | 1 0 1 |
| 23.67 | 1 | 0 0 6 |
| 29.91 | 2 | 0 1 5 |
| 35.86 | 2 | 1 0 7 |
| 39.12 | 100 | 1 1 0 |
| 56.52 | 17 | 2 0 8 |
| 70.83 | 26 | 3 0 0 |
| 71.05 | 8 | 1 0 16 |
| 83.95 | 6 | 2 2 0 |
| 84.20 | 5 | 0 2 16 |

Structural model:
```
data_Ta5Mo3
_chemical_formula_sum 'Ta15 Mo9'
_cell_length_a 4.6106
_cell_length_b 4.6106
_cell_length_c 22.5069
_cell_angle_alpha 90.00
_cell_angle_beta 90.00
_cell_angle_gamma 120.00
_space_group_name_H-M_alt 'R 3 m'
_space_group_IT_number 160
_space_group_name_Hall 'R 3 -2"'
loop_
_atom_site_label
_atom_site_type_symbol
_atom_site_fract_x
_atom_site_fract_y
_atom_site_fract_z
Ta1 Ta 0.0000 0.0000 0.0000
Ta2 Ta 0.0000 0.0000 0.1261
Ta3 Ta 0.0000 0.0000 0.2537
Ta4 Ta 0.0000 0.0000 0.6243
Ta5 Ta 0.0000 0.0000 0.8707
Mo1 Mo 0.0000 0.0000 0.3782
Mo2 Mo 0.0000 0.0000 0.4989
Mo3 Mo 0.0000 0.0000 0.7473
```

=====

[10]
Starting from a structure optimized by DFT (GGA-PBE), the powder X-ray diffraction pattern of KNpTl2F8 was simulated for Cu Kα.

Principal peaks in the range 15 to 90 degrees two-theta, in order of rising 2θ:
| two_theta | intensity | (hkl) |
| --- | --- | --- |
| 16.13 | 18 | 1 0 1 |
| 25.22 | 100 | 1 1 2 |
| 28.87 | 22 | 2 0 0 |
| 41.28 | 19 | 2 2 0 |
| 42.02 | 36 | 2 0 4 |
| 48.99 | 33 | 3 1 2 |
| 50.29 | 15 | 1 1 6 |
| 51.79 | 11 | 2 2 4 |
| 67.02 | 14 | 3 1 6 |
| 75.77 | 11 | 4 2 4 |

Structural model:
```
data_KNpTl2F8
_chemical_formula_sum 'K2 Np2 Tl4 F16'
_cell_length_a 6.1858
_cell_length_b 6.1858
_cell_length_c 11.9637
_cell_angle_alpha 90.00
_cell_angle_beta 90.00
_cell_angle_gamma 90.00
_space_group_name_H-M_alt 'I -4 m 2'
_space_group_IT_number 119
_space_group_name_Hall 'I -4 -2'
loop_
_atom_site_label
_atom_site_type_symbol
_atom_site_fract_x
_atom_site_fract_y
_atom_site_fract_z
K1 K 0.0000 0.0000 0.0000
Np1 Np 0.0000 0.5000 0.2500
Tl1 Tl 0.0000 0.0000 0.5000
Tl2 Tl 0.0000 0.5000 0.7500
F1 F 0.2047 0.2918 0.1429
```

=====

[11]
Starting from a structure optimized by DFT (GGA-PBE), the powder X-ray diffraction pattern of Li3Ag2Pd3 was simulated for Cu Kα.

Principal peaks in the range 15 to 90 degrees two-theta, in order of rising 2θ:
| two_theta | intensity | (hkl) |
| --- | --- | --- |
| 17.91 | 29 | 1 0 1 |
| 25.24 | 77 | 1 1 0 |
| 31.75 | 37 | 0 0 3 |
| 36.28 | 63 | 2 0 2 |
| 40.49 | 59 | 2 1 1 |
| 40.98 | 39 | 1 1 3 |
| 44.48 | 31 | 3 0 0 |
| 44.71 | 100 | 1 2 2 |
| 45.40 | 32 | 1 0 4 |
| 70.81 | 22 | 2 3 2 |

Structural model:
```
data_Li3Ag2Pd3
_chemical_formula_sum 'Li9 Ag6 Pd9'
_cell_length_a 7.0563
_cell_length_b 7.0563
_cell_length_c 8.4556
_cell_angle_alpha 90.00
_cell_angle_beta 90.00
_cell_angle_gamma 120.00
_space_group_name_H-M_alt 'R 3 2'
_space_group_IT_number 155
_space_group_name_Hall 'R 3 2"'
loop_
_atom_site_label
_atom_site_type_symbol
_atom_site_fract_x
_atom_site_fract_y
_atom_site_fract_z
Li1 Li 0.0000 0.7307 0.0000
Ag1 Ag 0.0000 0.0000 0.2360
Pd1 Pd 0.0000 0.2438 0.5000
```